No. 1
Theoretical XRD peak list
Compound: Al6Ga2Ir
Radiation: Cu Kα (weighted mean of Kα1 and Kα2)
Structure: a GGA-PBE-relaxed structure
Kinematic intensities with the Lorentz-polarization factor, no thermal factor.

Peak list (6 most intense, 10 to 90 degrees two-theta, sorted by position)
d = 6.153 Å, I = 87.3
d = 3.795 Å, I = 100.0
d = 2.827 Å, I = 73.9
d = 2.212 Å, I = 82.0
d = 2.051 Å, I = 61.0
d = 1.984 Å, I = 61.6

Atomic structure:
abc: 3.182 13.639 6.895
angles: 90.00 90.00 90.00
Space group Amm2 (No. 38)
Inequivalent atoms, fractional coordinates:
Al (0.000, 0.000, 0.000) (multiplicity 2)
Al (0.000, 0.131, 0.568) (multiplicity 4)
Al (0.500, 0.000, 0.329) (multiplicity 2)
Al (0.500, 0.173, 0.892) (multiplicity 4)
Ga (0.000, 0.183, 0.208) (multiplicity 4)
Ir (0.500, 0.000, 0.705) (multiplicity 2)

No. 2
Theoretical XRD peak list
Compound: MgAlGaIr
Radiation: Cu Kα (weighted mean of Kα1 and Kα2)
Structure: a GGA-PBE-relaxed structure
Kinematic intensities with the Lorentz-polarization factor, no thermal factor.

Peak list (6 most intense, 10 to 90 degrees two-theta, sorted by position)
d = 4.686 Å, I = 100.0
d = 3.549 Å, I = 44.2
d = 3.252 Å, I = 77.8
d = 2.231 Å, I = 68.0
d = 2.117 Å, I = 68.7
d = 1.930 Å, I = 57.4

Atomic structure:
abc: 4.2350 4.2350 14.0580
angles: 90.00 90.00 120.00
Space group R3m (No. 160, hexagonal axes)
Inequivalent atoms, fractional coordinates:
Mg (0.0000, 0.0000, 0.0000) (multiplicity 3)
Al (0.0000, 0.0000, 0.2052) (multiplicity 3)
Ga (0.0000, 0.0000, 0.4386) (multiplicity 3)
Ir (0.0000, 0.0000, 0.8108) (multiplicity 3)

No. 3
Theoretical XRD peak list
Compound: Sm2AlGa3Ir4
Radiation: Cu Kα (weighted mean of Kα1 and Kα2)
Structure: a GGA-PBE-relaxed structure
Kinematic intensities with the Lorentz-polarization factor, no thermal factor.

Peak list (6 most intense, 10 to 90 degrees two-theta, sorted by position)
d = 2.884 Å, I = 32.5
d = 2.675 Å, I = 63.0
d = 2.597 Å, I = 100.0
d = 2.124 Å, I = 72.3
d = 1.958 Å, I = 34.2
d = 1.663 Å, I = 30.4

Atomic structure:
abc: 4.248 4.248 10.331
angles: 90.00 90.00 90.00
Space group P-4m2 (No. 115)
Inequivalent atoms, fractional coordinates:
Sm (0.000, 0.500, 0.237) (multiplicity 2)
Al (0.000, 0.000, 0.500) (multiplicity 1)
Ga (0.000, 0.500, 0.873) (multiplicity 2)
Ga (0.500, 0.500, 0.500) (multiplicity 1)
Ir (0.000, 0.000, 0.000) (multiplicity 1)
Ir (0.000, 0.500, 0.632) (multiplicity 2)
Ir (0.500, 0.500, 0.000) (multiplicity 1)

No. 4
Theoretical XRD peak list
Compound: Sm2Al2GaIr5
Radiation: Cu Kα (weighted mean of Kα1 and Kα2)
Structure: a GGA-PBE-relaxed structure
Kinematic intensities with the Lorentz-polarization factor, no thermal factor.

Peak list (6 most intense, 10 to 90 degrees two-theta, sorted by position)
d = 2.746 Å, I = 47.3
d = 2.477 Å, I = 27.5
d = 2.412 Å, I = 74.3
d = 2.337 Å, I = 100.0
d = 2.164 Å, I = 38.0
d = 1.414 Å, I = 28.2

Atomic structure:
abc: 9.946 9.946 3.491
angles: 90.00 90.00 90.00
Space group P4/mbm (No. 127)
Inequivalent atoms, fractional coordinates:
Sm (0.176, 0.324, 0.000) (multiplicity 4)
Al (0.124, 0.624, 0.000) (multiplicity 4)
Ga (0.000, 0.000, 0.000) (multiplicity 2)
Ir (0.000, 0.500, 0.500) (multiplicity 2)
Ir (0.062, 0.796, 0.500) (multiplicity 8)

No. 5
Theoretical XRD peak list
Compound: Tm2Al2GaIr5
Radiation: Cu Kα (weighted mean of Kα1 and Kα2)
Structure: a GGA-PBE-relaxed structure
Kinematic intensities with the Lorentz-polarization factor, no thermal factor.

Peak list (6 most intense, 10 to 90 degrees two-theta, sorted by position)
d = 2.714 Å, I = 53.2
d = 2.447 Å, I = 21.8
d = 2.373 Å, I = 58.5
d = 2.307 Å, I = 100.0
d = 2.135 Å, I = 28.5
d = 1.398 Å, I = 34.8

Atomic structure:
abc: 9.784 9.784 3.461
angles: 90.00 90.00 90.00
Space group P4/mbm (No. 127)
Inequivalent atoms, fractional coordinates:
Tm (0.174, 0.326, 0.000) (multiplicity 4)
Al (0.125, 0.625, 0.000) (multiplicity 4)
Ga (0.000, 0.000, 0.000) (multiplicity 2)
Ir (0.000, 0.500, 0.500) (multiplicity 2)
Ir (0.065, 0.797, 0.500) (multiplicity 8)

No. 6
Theoretical XRD peak list
Compound: Tm2AlGa2Ir5
Radiation: Cu Kα (weighted mean of Kα1 and Kα2)
Structure: a GGA-PBE-relaxed structure
Kinematic intensities with the Lorentz-polarization factor, no thermal factor.

Peak list (6 most intense, 10 to 90 degrees two-theta, sorted by position)
d = 2.737 Å, I = 33.2
d = 2.359 Å, I = 67.2
d = 2.316 Å, I = 100.0
d = 2.292 Å, I = 32.5
d = 2.141 Å, I = 42.7
d = 1.410 Å, I = 46.3

Atomic structure:
abc: 9.725 9.725 3.521
angles: 90.00 90.00 90.00
Space group P4/mbm (No. 127)
Inequivalent atoms, fractional coordinates:
Tm (0.173, 0.327, 0.000) (multiplicity 4)
Al (0.000, 0.000, 0.000) (multiplicity 2)
Ga (0.127, 0.627, 0.000) (multiplicity 4)
Ir (0.000, 0.500, 0.500) (multiplicity 2)
Ir (0.064, 0.799, 0.500) (multiplicity 8)